BaNb2O6: calculated X-ray powder pattern (CuKα), based on a DFT-relaxed cell (PBE, Alexandria).
Lines closer than 0.1° are merged.

Largest 8 diffraction maxima, by angle, 15° ≤ 2θ ≤ 90°:
hkl, two_theta, I_rel
2 1 0, 27.91, 1000
0 0 2, 28.65, 285
3 0 1, 28.84, 688
2 1 2, 40.45, 130
0 2 0, 45.60, 174
5 1 1, 50.60, 176
6 0 0, 51.21, 112
3 2 1, 54.85, 219

Structural model:
```
BaNb2O6
1.0
10.700 0.000 0.000
0.000 3.979 0.000
0.000 0.000 6.231
Ba Nb O
2 4 12
Cartesian
2.675 0.000 1.164
8.025 0.000 5.067
0.836 1.989 4.455
4.514 1.989 4.455
6.187 1.989 1.777
9.864 1.989 1.777
0.000 1.989 0.000
0.920 0.000 4.483
1.151 1.989 2.464
2.675 1.989 5.270
4.200 1.989 2.464
4.430 0.000 4.483
5.350 1.989 0.000
6.271 0.000 1.748
6.501 1.989 3.767
8.025 1.989 0.961
9.550 1.989 3.767
9.780 0.000 1.748
```